Record 1
The following is a theoretical powder diffraction line list of Sm6CuBr8. It was derived from DFT lattice parameters and positions (PBE), using Cu Kα (λ = 1.5418 Å).
Kinematic intensities with the Lorentz-polarization factor, no thermal factor.

Crystal structure
Unit cell a=11.638 b=11.638 c=11.638 alpha=36.17 beta=36.17 gamma=36.17
Atoms (fractional coordinates):
Sm1 0.051 0.359 0.742
Sm2 0.258 0.949 0.641
Sm3 0.359 0.742 0.051
Sm4 0.641 0.258 0.949
Sm5 0.742 0.051 0.359
Sm6 0.949 0.641 0.258
Cu1 0.000 0.000 0.000
Br1 0.106 0.763 0.449
Br2 0.237 0.551 0.894
Br3 0.333 0.333 0.333
Br4 0.449 0.106 0.763
Br5 0.551 0.894 0.237
Br6 0.667 0.667 0.667
Br7 0.763 0.449 0.106
Br8 0.894 0.237 0.551

Main lines, by angle (10 to 90 degrees two-theta):
24.6°, rel. 12; 29.7°, rel. 100; 35.1°, rel. 13; 41.6°, rel. 34; 43.4°, rel. 31; 53.5°, rel. 17; 68.6°, rel. 12; 71.2°, rel. 13

Record 2
The following is a theoretical powder diffraction line list of BaAl3Cu3. It was derived from DFT lattice parameters and positions (PBE), using Cu Kα (λ = 1.5418 Å).
Kinematic intensities with the Lorentz-polarization factor, no thermal factor.

Crystal structure
Unit cell a=8.745 b=8.745 c=8.745 alpha=43.51 beta=43.51 gamma=43.51
Atoms (fractional coordinates):
Ba1 0.161 0.161 0.161
Ba2 0.839 0.839 0.839
Al1 0.072 0.223 0.591
Al2 0.223 0.591 0.072
Al3 0.409 0.928 0.777
Al4 0.591 0.072 0.223
Al5 0.777 0.409 0.928
Al6 0.928 0.777 0.409
Cu1 0.193 0.385 0.631
Cu2 0.369 0.807 0.615
Cu3 0.385 0.631 0.193
Cu4 0.615 0.369 0.807
Cu5 0.631 0.193 0.385
Cu6 0.807 0.615 0.369

Main lines, by angle (10 to 90 degrees two-theta):
21.8°, rel. 63; 24.6°, rel. 35; 29.8°, rel. 100; 30.8°, rel. 32; 34.0°, rel. 36; 35.8°, rel. 48; 42.8°, rel. 55; 43.3°, rel. 35

Record 3
The following is a theoretical powder diffraction line list of PuInPb. It was derived from DFT lattice parameters and positions (PBE), using Cu Kα (λ = 1.5418 Å).
Kinematic intensities with the Lorentz-polarization factor, no thermal factor.

Crystal structure
Unit cell a=3.588 b=3.588 c=12.947 alpha=90.00 beta=90.00 gamma=90.00
Atoms (fractional coordinates):
Pu1 0.000 0.000 0.000
Pu2 0.500 0.500 0.500
In1 0.000 0.000 0.666
In2 0.500 0.500 0.166
Pb1 0.000 0.000 0.323
Pb2 0.500 0.500 0.823

Main lines, by angle (10 to 90 degrees two-theta):
32.5°, rel. 100; 35.4°, rel. 40; 41.9°, rel. 12; 50.9°, rel. 15; 55.9°, rel. 24; 61.7°, rel. 32; 68.0°, rel. 12; 70.5°, rel. 10

Record 4
The following is a theoretical powder diffraction line list of NaSr4O. It was derived from DFT lattice parameters and positions (PBE), using Cu Kα (λ = 1.5418 Å).
Kinematic intensities with the Lorentz-polarization factor, no thermal factor.

Crystal structure
Unit cell a=12.250 b=8.103 c=10.688 alpha=90.00 beta=90.00 gamma=90.00
Atoms (fractional coordinates):
Na1 0.185 0.250 0.192
Na2 0.315 0.750 0.692
Na3 0.685 0.250 0.308
Na4 0.815 0.750 0.808
Sr1 0.065 0.018 0.821
Sr2 0.065 0.482 0.821
Sr3 0.096 0.750 0.439
Sr4 0.225 0.250 0.563
Sr5 0.275 0.750 0.063
Sr6 0.404 0.250 0.939
Sr7 0.435 0.518 0.321
Sr8 0.435 0.982 0.321
Sr9 0.565 0.018 0.679
Sr10 0.565 0.482 0.679
Sr11 0.596 0.750 0.061
Sr12 0.725 0.250 0.937
Sr13 0.775 0.750 0.437
Sr14 0.904 0.250 0.561
Sr15 0.935 0.518 0.179
Sr16 0.935 0.982 0.179
O1 0.065 0.250 0.687
O2 0.435 0.750 0.187
O3 0.565 0.250 0.813
O4 0.935 0.750 0.313

Main lines, by angle (10 to 90 degrees two-theta):
13.7°, rel. 41; 24.6°, rel. 93; 25.8°, rel. 68; 26.0°, rel. 50; 26.4°, rel. 43; 27.5°, rel. 73; 27.7°, rel. 100; 46.4°, rel. 67

Record 5
The following is a theoretical powder diffraction line list of PrNd4Ho2Sc. It was derived from DFT lattice parameters and positions (PBE), using Cu Kα (λ = 1.5418 Å).
Kinematic intensities with the Lorentz-polarization factor, no thermal factor.

Crystal structure
Unit cell a=5.084 b=5.102 c=10.108 alpha=90.00 beta=90.00 gamma=90.00
Atoms (fractional coordinates):
Pr1 0.000 0.000 0.000
Nd1 0.000 0.500 0.249
Nd2 0.000 0.500 0.751
Nd3 0.500 0.000 0.249
Nd4 0.500 0.000 0.751
Ho1 0.000 0.000 0.500
Ho2 0.500 0.500 0.500
Sc1 0.500 0.500 0.000

Main lines, by angle (10 to 90 degrees two-theta):
30.5°, rel. 100; 35.2°, rel. 17; 35.3°, rel. 17; 35.5°, rel. 17; 50.9°, rel. 24; 60.2°, rel. 14; 60.4°, rel. 14; 60.7°, rel. 14

Record 6
The following is a theoretical powder diffraction line list of Pm11Mg9Zn4. It was derived from DFT lattice parameters and positions (PBE), using Cu Kα (λ = 1.5418 Å).
Kinematic intensities with the Lorentz-polarization factor, no thermal factor.

Crystal structure
Unit cell a=13.697 b=13.697 c=3.791 alpha=90.00 beta=90.00 gamma=113.22
Atoms (fractional coordinates):
Pm1 0.000 0.000 0.000
Pm2 0.077 0.416 0.000
Pm3 0.161 0.839 0.000
Pm4 0.285 0.285 0.000
Pm5 0.359 0.641 0.000
Pm6 0.416 0.077 0.000
Pm7 0.584 0.923 0.000
Pm8 0.641 0.359 0.000
Pm9 0.715 0.715 0.000
Pm10 0.839 0.161 0.000
Pm11 0.923 0.584 0.000
Mg1 0.063 0.213 0.500
Mg2 0.147 0.633 0.500
Mg3 0.213 0.063 0.500
Mg4 0.367 0.853 0.500
Mg5 0.500 0.500 0.500
Mg6 0.633 0.147 0.500
Mg7 0.787 0.937 0.500
Mg8 0.853 0.367 0.500
Mg9 0.937 0.787 0.500
Zn1 0.263 0.452 0.500
Zn2 0.452 0.263 0.500
Zn3 0.548 0.737 0.500
Zn4 0.737 0.548 0.500

Main lines, by angle (10 to 90 degrees two-theta):
23.3°, rel. 19; 23.5°, rel. 20; 23.6°, rel. 19; 33.3°, rel. 52; 33.5°, rel. 100; 41.3°, rel. 17; 48.0°, rel. 13; 59.8°, rel. 18

Record 7
The following is a theoretical powder diffraction line list of Ba2AgO2F2. It was derived from DFT lattice parameters and positions (PBE), using Cu Kα (λ = 1.5418 Å).
Kinematic intensities with the Lorentz-polarization factor, no thermal factor.

Crystal structure
Unit cell a=4.240 b=4.240 c=14.534 alpha=90.00 beta=90.00 gamma=90.00
Atoms (fractional coordinates):
Ba1 0.000 0.000 0.127
Ba2 0.000 0.000 0.873
Ba3 0.500 0.500 0.373
Ba4 0.500 0.500 0.627
Ag1 0.000 0.000 0.500
Ag2 0.500 0.500 0.000
O1 0.000 0.500 0.000
O2 0.000 0.500 0.500
O3 0.500 0.000 0.000
O4 0.500 0.000 0.500
F1 0.000 0.000 0.309
F2 0.000 0.000 0.691
F3 0.500 0.500 0.191
F4 0.500 0.500 0.809

Main lines, by angle (10 to 90 degrees two-theta):
12.2°, rel. 29; 28.0°, rel. 100; 29.8°, rel. 85; 37.5°, rel. 64; 38.9°, rel. 18; 42.7°, rel. 43; 51.8°, rel. 36; 58.1°, rel. 34

Record 8
The following is a theoretical powder diffraction line list of TiMo4W4. It was derived from DFT lattice parameters and positions (PBE), using Cu Kα (λ = 1.5418 Å).
Kinematic intensities with the Lorentz-polarization factor, no thermal factor.

Crystal structure
Unit cell a=6.912 b=6.912 c=6.912 alpha=93.02 beta=93.02 gamma=153.48
Atoms (fractional coordinates):
Ti1 0.000 0.000 0.000
Mo1 0.332 0.332 0.664
Mo2 0.332 0.668 0.000
Mo3 0.668 0.332 0.000
Mo4 0.668 0.668 0.336
W1 0.000 0.332 0.332
W2 0.000 0.668 0.668
W3 0.332 0.000 0.332
W4 0.668 0.000 0.668

Main lines, by angle (10 to 90 degrees two-theta):
13.2°, rel. 16; 26.5°, rel. 4; 35.3°, rel. 7; 40.2°, rel. 100; 48.8°, rel. 4; 58.2°, rel. 17; 73.1°, rel. 34; 86.9°, rel. 11

Copy entry 1 word for word.
The following is a theoretical powder diffraction line list of Sm6CuBr8. It was derived from DFT lattice parameters and positions (PBE), using Cu Kα (λ = 1.5418 Å).
Kinematic intensities with the Lorentz-polarization factor, no thermal factor.

Crystal structure
Unit cell a=11.638 b=11.638 c=11.638 alpha=36.17 beta=36.17 gamma=36.17
Atoms (fractional coordinates):
Sm1 0.051 0.359 0.742
Sm2 0.258 0.949 0.641
Sm3 0.359 0.742 0.051
Sm4 0.641 0.258 0.949
Sm5 0.742 0.051 0.359
Sm6 0.949 0.641 0.258
Cu1 0.000 0.000 0.000
Br1 0.106 0.763 0.449
Br2 0.237 0.551 0.894
Br3 0.333 0.333 0.333
Br4 0.449 0.106 0.763
Br5 0.551 0.894 0.237
Br6 0.667 0.667 0.667
Br7 0.763 0.449 0.106
Br8 0.894 0.237 0.551

Main lines, by angle (10 to 90 degrees two-theta):
24.6°, rel. 12; 29.7°, rel. 100; 35.1°, rel. 13; 41.6°, rel. 34; 43.4°, rel. 31; 53.5°, rel. 17; 68.6°, rel. 12; 71.2°, rel. 13